1.
SrY5Te8: theoretical XRD peak list (a wavelength of 1.5418 Å), based on a PBE-relaxed structure.
Peak positions follow from Bragg's law for the DFT cell and can differ from measured ones.

Cell and atoms:
a = 12.981 Å, b = 12.981 Å, c = 12.981 Å
α = 90.00°, β = 90.00°, γ = 90.00°
Space group F-43m (No. 216)
Symmetry-distinct sites (fractional):
1 Sr 0.000 0.000 0.000 (multiplicity 4)
2 Y 0.126 0.126 0.626 (multiplicity 16)
3 Y 0.250 0.250 0.250 (multiplicity 4)
4 Te 0.117 0.117 0.383 (multiplicity 16)
5 Te 0.138 0.138 0.862 (multiplicity 16)

Largest 12 diffraction maxima, sorted by position, 10 to 90 degrees two-theta:
| two_theta | I/Imax |
| --- | --- |
| 11.81 | 14 |
| 22.72 | 30 |
| 23.74 | 42 |
| 27.48 | 80 |
| 35.95 | 33 |
| 39.26 | 100 |
| 46.40 | 17 |
| 48.59 | 19 |
| 56.73 | 15 |
| 64.17 | 22 |
| 71.16 | 28 |
| 75.80 | 14 |

2.
Sb5Pb8: theoretical XRD peak list (a wavelength of 1.5418 Å), based on a PBE-relaxed structure.
Peak positions follow from Bragg's law for the DFT cell and can differ from measured ones.

Cell and atoms:
a = 12.371 Å, b = 9.135 Å, c = 9.996 Å
α = 90.00°, β = 127.72°, γ = 90.00°
Space group C2/m (No. 12)
Symmetry-distinct sites (fractional):
1 Sb 0.000 0.000 0.000 (multiplicity 2)
2 Sb 0.000 0.235 0.500 (multiplicity 4)
3 Sb 0.247 0.000 0.988 (multiplicity 4)
4 Pb 0.010 0.285 0.815 (multiplicity 8)
5 Pb 0.205 0.500 0.629 (multiplicity 4)
6 Pb 0.236 0.000 0.667 (multiplicity 4)

Largest 12 diffraction maxima, sorted by position, 10 to 90 degrees two-theta:
| two_theta | I/Imax |
| --- | --- |
| 26.70 | 100 |
| 26.86 | 62 |
| 30.75 | 9 |
| 36.75 | 27 |
| 36.98 | 48 |
| 39.47 | 59 |
| 43.92 | 9 |
| 48.22 | 10 |
| 48.39 | 16 |
| 55.00 | 11 |
| 55.41 | 9 |
| 64.01 | 9 |